The following is a theoretical X-ray diffraction stick pattern of PmAl2Re2C. It was derived from DFT lattice parameters and positions (PBE), using Cu Kα (λ = 1.5418 Å).

Top 10 peaks for 10 to 90 degrees two-theta, in order of rising 2θ:
hkl 0 0 1, 2θ = 15.64°, intensity 316
hkl 1 0 1, 2θ = 26.49°, intensity 120
hkl 0 0 2, 2θ = 31.58°, intensity 264
hkl 1 1 1, 2θ = 34.21°, intensity 1000
hkl 1 0 2, 2θ = 38.38°, intensity 122
hkl 2 0 0, 2θ = 43.28°, intensity 334
hkl 1 1 2, 2θ = 44.28°, intensity 130
hkl 2 0 2, 2θ = 54.56°, intensity 228
hkl 1 1 3, 2θ = 57.94°, intensity 200
hkl 3 1 1, 2θ = 73.56°, intensity 224

Structural model:
Cell: 4.181 4.181 5.666 Å, 90.00 90.00 90.00°
Space group P4/mmm (No. 123)
Symmetry-distinct sites (fractional):
1 Pm 0.000 0.000 0.000
2 Al 0.500 0.500 0.226
3 Re 0.000 0.500 0.500
4 C 0.000 0.000 0.500